(1)
For Ce3PaO8, a crystal structure in Alexandria, relaxed with GGA-PBE gives the theoretical XRD peak list in this record (CuKα).
Peak positions follow from Bragg's law for the DFT cell and can differ from measured ones.

Main lines, in order of rising 2θ (2θ from 10° to 90°):
| 2theta | Rel. int. | hkl |
| --- | --- | --- |
| 16.2 | 5 | 1 0 0 |
| 28.2 | 100 | 1 1 1 |
| 32.7 | 32 | 2 0 0 |
| 46.9 | 53 | 2 2 0 |
| 55.7 | 46 | 3 1 1 |
| 58.4 | 9 | 2 2 2 |
| 68.6 | 8 | 4 0 0 |
| 75.7 | 18 | 3 3 1 |
| 78.1 | 13 | 4 2 0 |
| 87.3 | 17 | 4 2 2 |

Cell and atoms:
```
data_Ce3PaO8
_cell_length_a 5.4739
_cell_length_b 5.4739
_cell_length_c 5.4739
_cell_angle_alpha 90.00
_cell_angle_beta 90.00
_cell_angle_gamma 90.00
_space_group_name_H-M_alt 'P m -3 m'
_space_group_IT_number 221
_space_group_name_Hall '-P 4 2 3'
loop_
_atom_site_label
_atom_site_fract_x
_atom_site_fract_y
_atom_site_fract_z
Ce1 0.0000 0.0000 0.5000
Pa1 0.5000 0.5000 0.5000
O1 0.2561 0.2561 0.2561
```

(2)
For La2Y3, a crystal structure in Alexandria, relaxed with GGA-PBE gives the theoretical XRD peak list in this record (CuKα).
Peak positions follow from Bragg's law for the DFT cell and can differ from measured ones.

Main lines, in order of rising 2θ (2θ from 10° to 90°):
| 2theta | Rel. int. | hkl |
| --- | --- | --- |
| 30.0 | 100 | 0 1 5 |
| 30.3 | 32 | 0 0 15 |
| 34.9 | 67 | 1 0 10 |
| 50.0 | 24 | 1 1 0 |
| 50.4 | 23 | 0 1 20 |
| 59.5 | 14 | 2 0 5 |
| 59.6 | 28 | 1 1 15 |
| 60.0 | 13 | 1 0 25 |
| 62.5 | 12 | 0 2 10 |
| 81.4 | 11 | 1 2 5 |

Cell and atoms:
```
data_La2Y3
_cell_length_a 3.6462
_cell_length_b 3.6462
_cell_length_c 44.2110
_cell_angle_alpha 90.00
_cell_angle_beta 90.00
_cell_angle_gamma 120.00
_space_group_name_H-M_alt 'R -3 m'
_space_group_IT_number 166
_space_group_name_Hall '-R 3 2"'
loop_
_atom_site_label
_atom_site_fract_x
_atom_site_fract_y
_atom_site_fract_z
La1 0.0000 0.0000 0.0998
Y1 0.0000 0.0000 0.3010
Y2 0.0000 0.0000 0.5000
```